Simulated powder XRD pattern of LiTiP2O7 for Cu Kα X-rays, from DFT lattice parameters and positions (GGA-PBE).
No peak broadening, texture or thermal motion is included.

Peak list (6 most intense, 2θ = 10–80°, in order of falling intensity)
2θ/deg, d [Å], I (rel.), h k l
29.32, 3.046, 100.0, 0 2 2
17.43, 5.088, 73.5, 1 1 0
28.16, 3.169, 54.2, 2 0 -2
14.53, 6.095, 37.0, 0 1 1
29.10, 3.068, 26.1, 1 2 1
31.32, 2.856, 17.4, 0 1 3

Structural model:
Cell lengths 6.8597, 8.1766, 9.6502 Å; angles 90.00, 108.65, 90.00 degrees
Fractional positions:
Li: 0.2065 0.1314 0.0373
Li: 0.2065 0.3686 0.5373
Li: 0.7935 0.6314 0.4627
Li: 0.7935 0.8686 0.9627
Ti: 0.2853 0.7265 0.9938
Ti: 0.2853 0.7735 0.4938
Ti: 0.7147 0.2265 0.5062
Ti: 0.7147 0.2735 0.0062
P: 0.0559 0.5370 0.2064
P: 0.0559 0.9630 0.7064
P: 0.4654 0.0812 0.7063
P: 0.4654 0.4188 0.2063
P: 0.5346 0.5812 0.7937
P: 0.5346 0.9188 0.2937
P: 0.9441 0.0370 0.2936
P: 0.9441 0.4630 0.7936
O: 0.0656 0.6773 0.1040
O: 0.0656 0.8227 0.6040
O: 0.0913 0.5866 0.3665
O: 0.0913 0.9134 0.8665
O: 0.1424 0.5621 0.8496
O: 0.1424 0.9379 0.3496
O: 0.2319 0.1002 0.7116
O: 0.2319 0.3998 0.2116
O: 0.3914 0.5837 0.6333
O: 0.3914 0.9163 0.1333
O: 0.4811 0.5820 0.1371
O: 0.4811 0.9180 0.6371
O: 0.4868 0.2292 0.6145
O: 0.4868 0.2708 0.1144
O: 0.5132 0.7292 0.8856
O: 0.5132 0.7708 0.3856
O: 0.5189 0.0820 0.3629
O: 0.5189 0.4180 0.8629
O: 0.6086 0.0837 0.8667
O: 0.6086 0.4163 0.3667
O: 0.7681 0.6002 0.7884
O: 0.7681 0.8998 0.2884
O: 0.8576 0.0621 0.6504
O: 0.8576 0.4379 0.1504
O: 0.9087 0.0866 0.1335
O: 0.9087 0.4134 0.6335
O: 0.9344 0.1773 0.3960
O: 0.9344 0.3227 0.8960

***

Simulated powder XRD pattern of Li3TiP2O8 for Cu Kα X-rays, from DFT lattice parameters and positions (GGA-PBE).
No peak broadening, texture or thermal motion is included.

Peak list (6 most intense, 2θ = 10–80°, in order of falling intensity)
2θ/deg, d [Å], I (rel.), h k l
24.19, 3.679, 100.0, 1 2 0
14.82, 5.976, 64.4, 0 1 1
34.86, 2.574, 50.2, 1 6 -1
25.39, 3.507, 49.6, 1 2 -2
34.62, 2.591, 47.4, 0 4 2
20.37, 4.360, 22.6, 0 3 1

Structural model:
Cell lengths 4.9939, 18.0280, 7.8352 Å; angles 90.00, 126.06, 90.00 degrees
Fractional positions:
Li: 0.0345 0.0508 0.2933
Li: 0.0345 0.4492 0.7933
Li: 0.2850 0.6225 0.0040
Li: 0.2850 0.8775 0.5040
Li: 0.3793 0.1988 0.6894
Li: 0.3793 0.3012 0.1894
Li: 0.6207 0.6988 0.8106
Li: 0.6207 0.8012 0.3106
Li: 0.7150 0.1225 0.4960
Li: 0.7150 0.3775 0.9960
Li: 0.9655 0.5508 0.2067
Li: 0.9655 0.9492 0.7067
Ti: 0.1939 0.1268 0.9886
Ti: 0.1939 0.3732 0.4886
Ti: 0.8061 0.6268 0.5114
Ti: 0.8061 0.8732 0.0114
P: 0.1038 0.7146 0.2858
P: 0.1038 0.7854 0.7858
P: 0.4972 0.5364 0.7263
P: 0.4972 0.9636 0.2263
P: 0.5028 0.0364 0.7737
P: 0.5028 0.4636 0.2737
P: 0.8962 0.2146 0.2142
P: 0.8962 0.2854 0.7142
O: 0.0290 0.6719 0.0949
O: 0.0290 0.8281 0.5949
O: 0.1300 0.6995 0.7604
O: 0.1300 0.8005 0.2604
O: 0.1683 0.5658 0.5242
O: 0.1683 0.9342 0.0242
O: 0.1768 0.1988 0.1850
O: 0.1768 0.3012 0.6850
O: 0.2003 0.0603 0.7757
O: 0.2003 0.4397 0.2757
O: 0.4468 0.6917 0.4898
O: 0.4468 0.8083 0.9898
O: 0.4571 0.0662 0.5776
O: 0.4571 0.4338 0.0776
O: 0.4952 0.5511 0.2734
O: 0.4952 0.9489 0.7734
O: 0.5048 0.0511 0.2266
O: 0.5048 0.4489 0.7266
O: 0.5429 0.5662 0.9224
O: 0.5429 0.9338 0.4224
O: 0.5532 0.1917 0.0102
O: 0.5532 0.3083 0.5102
O: 0.7997 0.5603 0.7243
O: 0.7997 0.9397 0.2243
O: 0.8232 0.6988 0.3150
O: 0.8232 0.8012 0.8150
O: 0.8317 0.0658 0.9758
O: 0.8317 0.4342 0.4758
O: 0.8700 0.1995 0.7396
O: 0.8700 0.3005 0.2396
O: 0.9710 0.1719 0.4051
O: 0.9710 0.3281 0.9051

***

Simulated powder XRD pattern of LiTiP2O7 for Cu Kα X-rays, from DFT lattice parameters and positions (GGA-PBE).
No peak broadening, texture or thermal motion is included.

Peak list (6 most intense, 2θ = 10–80°, in order of falling intensity)
2θ/deg, d [Å], I (rel.), h k l
22.16, 4.012, 100.0, 1 1 -2
23.04, 3.861, 53.7, 2 0 0
31.74, 2.820, 25.2, 1 1 -4
34.62, 2.591, 20.9, 0 2 0
14.77, 5.999, 20.8, 0 0 2
32.82, 2.729, 11.9, 2 0 2

Structural model:
Cell lengths 8.6786, 5.1796, 13.4841 Å; angles 90.00, 117.15, 90.00 degrees
Fractional positions:
Li: 0.0589 0.2376 0.1953
Li: 0.0589 0.2624 0.6953
Li: 0.9411 0.7376 0.3047
Li: 0.9411 0.7624 0.8047
Ti: 0.2362 0.2353 0.9709
Ti: 0.2362 0.2647 0.4709
Ti: 0.7638 0.7353 0.5291
Ti: 0.7638 0.7647 0.0291
P: 0.1827 0.7202 0.1161
P: 0.1827 0.7798 0.6161
P: 0.3280 0.7414 0.3521
P: 0.3280 0.7586 0.8521
P: 0.6720 0.2414 0.1479
P: 0.6720 0.2586 0.6479
P: 0.8173 0.2202 0.3839
P: 0.8173 0.2798 0.8839
O: 0.0221 0.7066 0.6314
O: 0.0221 0.7934 0.1314
O: 0.1840 0.0695 0.5920
O: 0.1840 0.4305 0.0920
O: 0.2090 0.6074 0.5347
O: 0.2090 0.8926 0.0347
O: 0.2120 0.5451 0.8609
O: 0.2120 0.9549 0.3609
O: 0.2427 0.0252 0.8403
O: 0.2427 0.4748 0.3403
O: 0.3423 0.7171 0.7375
O: 0.3423 0.7829 0.2375
O: 0.4856 0.2424 0.5573
O: 0.4856 0.2576 0.0573
O: 0.5144 0.7424 0.9427
O: 0.5144 0.7576 0.4427
O: 0.6577 0.2171 0.7625
O: 0.6577 0.2829 0.2625
O: 0.7573 0.5252 0.6597
O: 0.7573 0.9748 0.1597
O: 0.7880 0.0451 0.6391
O: 0.7880 0.4549 0.1391
O: 0.7910 0.1074 0.9653
O: 0.7910 0.3926 0.4653
O: 0.8160 0.5695 0.9080
O: 0.8160 0.9305 0.4080
O: 0.9779 0.2066 0.8686
O: 0.9779 0.2934 0.3686

***

Simulated powder XRD pattern of LiTiP2O7 for Cu Kα X-rays, from DFT lattice parameters and positions (GGA-PBE).
No peak broadening, texture or thermal motion is included.

Peak list (6 most intense, 2θ = 10–80°, in order of falling intensity)
2θ/deg, d [Å], I (rel.), h k l
17.64, 5.028, 100.0, 1 0 1
29.34, 3.044, 72.0, 0 2 0
28.42, 3.140, 49.3, 0 0 4
29.66, 3.012, 45.2, 2 -1 0
31.83, 2.812, 20.4, 0 2 -3
30.55, 2.926, 19.4, 1 1 -4

Structural model:
Cell lengths 6.3775, 6.3890, 13.2007 Å; angles 101.59, 101.16, 100.28 degrees
Fractional positions:
Li: 0.0000 0.0000 0.0000
Li: 0.0587 0.2139 0.7562
Li: 0.2636 0.7725 0.5050
Li: 0.7892 0.4572 0.2551
Ti: 0.1539 0.8712 0.2351
Ti: 0.4331 0.3763 0.0206
Ti: 0.6205 0.8440 0.7349
Ti: 0.9032 0.3462 0.5237
P: 0.1189 0.7292 0.7443
P: 0.2746 0.3827 0.2451
P: 0.3604 0.2648 0.4526
P: 0.4472 0.8515 0.9522
P: 0.6090 0.3709 0.8047
P: 0.6974 0.9576 0.3046
P: 0.7847 0.8378 0.5131
P: 0.9351 0.4905 0.0108
O: 0.0077 0.4904 0.6866
O: 0.0475 0.7274 0.0718
O: 0.0912 0.3400 0.9865
O: 0.1178 0.1583 0.1961
O: 0.1462 0.5619 0.2656
O: 0.2145 0.3980 0.5047
O: 0.2398 0.7039 0.8587
O: 0.2472 0.0231 0.4021
O: 0.2918 0.8345 0.6923
O: 0.3625 0.0472 0.0042
O: 0.4159 0.3024 0.8536
O: 0.4181 0.3817 0.3601
O: 0.4535 0.4317 0.1847
O: 0.4703 0.9312 0.2331
O: 0.4924 0.6962 0.0236
O: 0.5605 0.5257 0.7332
O: 0.5861 0.2905 0.5251
O: 0.6021 0.7883 0.5716
O: 0.6391 0.9180 0.9023
O: 0.6449 0.8431 0.3984
O: 0.6951 0.1755 0.7534
O: 0.7600 0.3819 0.0604
O: 0.8114 0.1991 0.3550
O: 0.8145 0.5240 0.8978
O: 0.8398 0.8215 0.2510
O: 0.9123 0.6580 0.4921
O: 0.9423 0.0611 0.5652
O: 0.9617 0.8803 0.7656